Starting from DFT lattice parameters and positions (GGA-PBE), the powder diffractogram of MgCu2Au5 was computed for a wavelength of 1.5418 Å.

Most intense lines, 2θ = 5–70°, in order of falling intensity:
- d 2.387, 2θ = 37.7°, I = 100.0
- d 2.194, 2θ = 41.1°, I = 43.4
- d 1.423, 2θ = 65.6°, I = 24.1
- d 2.990, 2θ = 29.9°, I = 20.2
- d 3.691, 2θ = 24.1°, I = 14.1
- d 1.868, 2θ = 48.7°, I = 13.3

Atomic structure:
```
16
Lattice="-3.4688 3.4688 5.6045 3.4688 -3.4688 5.6045 3.4688 3.4688 -5.6045" Properties=species:S:1:pos:R:3 pbc="T T T"
Mg 0.0000 0.0000 2.8023
Mg 0.0000 0.0000 8.4068
Cu 4.4385 0.9696 0.0000
Cu 0.9696 2.4992 0.0000
Cu 2.4992 0.9696 5.6045
Cu -0.9696 2.4992 5.6045
Au 0.0000 0.0000 0.0000
Au 4.5338 -1.0650 1.7499
Au 2.4039 -1.0650 3.8546
Au 2.4039 1.0650 1.7499
Au 4.5338 1.0650 3.8546
Au 0.0000 0.0000 5.6045
Au -1.0650 2.4039 1.7499
Au 1.0650 2.4039 3.8546
Au 1.0650 4.5338 1.7499
Au -1.0650 4.5338 3.8546
```


Starting from DFT lattice parameters and positions (GGA-PBE), the powder diffractogram of LaPm5Zn6 was computed for a wavelength of 1.5418 Å.

Most intense lines, 2θ = 5–70°, in order of falling intensity:
- d 2.599, 2θ = 34.5°, I = 100.0
- d 1.502, 2θ = 61.8°, I = 24.0
- d 3.676, 2θ = 24.2°, I = 14.3
- d 1.499, 2θ = 61.9°, I = 12.0
- d 1.837, 2θ = 49.6°, I = 11.8
- d 1.840, 2θ = 49.5°, I = 5.9

Atomic structure:
```
12
Lattice="2.5946 -7.8016 0.0000 2.5946 7.8016 0.0000 0.0000 0.0000 7.3618" Properties=species:S:1:pos:R:3 pbc="T T T"
La 0.0000 0.0000 0.0000
Pm 0.0000 0.0000 3.6809
Pm 2.5946 2.6053 0.0000
Pm 2.5946 2.5769 3.6809
Pm 2.5946 -2.5769 3.6809
Pm 2.5946 -2.6053 0.0000
Zn 2.5946 5.1623 1.8695
Zn 2.5946 5.1623 5.4924
Zn 2.5946 0.0000 1.8759
Zn 2.5946 0.0000 5.4859
Zn 2.5946 -5.1623 1.8695
Zn 2.5946 -5.1623 5.4924
```


Q: Number 2 is which compound?
A: LaPm5Zn6